# 1
The following is a simulated X-ray powder pattern of La2Sm7ErTl2. It was derived from a GGA-PBE-relaxed structure, using Cu Ka.
Lines closer than 0.1° are merged.

Peak list (10 most intense, 10° ≤ 2θ ≤ 90°, low angle first)
two_theta  d (Å)  intensity
29.47  3.031  100.0
31.18  2.868  73.6
32.18  2.781  24.4
33.52  2.673  21.9
34.99  2.565  50.3
35.21  2.549  29.3
35.61  2.521  31.1
50.75  1.799  38.7
61.20  1.514  22.1
61.34  1.511  25.0

Structure:
```
12
Lattice="5.043 -3.487 0.000 5.043 3.487 0.000 -0.010 0.000 11.379" Properties=species:S:1:pos:R:3 pbc="T T T"
La -0.001 0.000 1.654
La 10.077 0.000 9.725
Sm -0.005 0.000 5.690
Sm 7.559 -1.743 3.805
Sm 2.517 1.743 7.575
Sm 3.218 0.000 11.376
Sm 7.559 1.743 3.805
Sm 2.517 -1.743 7.575
Sm 6.857 0.000 0.004
Er 5.038 0.000 5.690
Tl 5.036 0.000 2.618
Tl 5.039 0.000 8.761
```


# 2
The following is a simulated X-ray powder pattern of Ac5ThRu4. It was derived from a GGA-PBE-relaxed structure, using Cu Ka.
Lines closer than 0.1° are merged.

Peak list (10 most intense, 10° ≤ 2θ ≤ 90°, low angle first)
two_theta  d (Å)  intensity
25.93  3.437  27.3
26.14  3.409  13.3
26.97  3.306  12.8
30.39  2.941  100.0
42.67  2.119  13.6
43.00  2.104  26.3
44.07  2.055  23.6
44.29  2.045  11.6
53.31  1.718  14.2
63.19  1.472  7.9

Structure:
```
10
Lattice="9.113 -2.119 0.000 9.113 2.119 0.000 -2.096 0.000 7.911" Properties=species:S:1:pos:R:3 pbc="T T T"
Ac 0.000 0.000 0.000
Ac 4.704 0.000 5.163
Ac 5.783 0.000 1.331
Ac 10.348 0.000 6.581
Ac 11.427 0.000 2.749
Th -1.048 0.000 3.956
Ru 1.833 0.000 4.839
Ru 7.453 0.000 5.855
Ru 8.677 0.000 2.056
Ru 14.298 0.000 3.072
```


# 3
The following is a simulated X-ray powder pattern of Tl3C2O8. It was derived from a GGA-PBE-relaxed structure, using Cu Ka.
Lines closer than 0.1° are merged.

Peak list (10 most intense, 10° ≤ 2θ ≤ 90°, low angle first)
two_theta  d (Å)  intensity
20.78  4.274  44.5
27.30  3.266  61.8
30.60  2.922  100.0
35.50  2.529  82.9
41.45  2.178  28.3
45.36  2.000  32.8
47.56  1.912  33.1
55.69  1.651  47.6
60.73  1.525  26.8
75.12  1.265  23.6

Structure:
```
13
Lattice="2.529 1.460 6.538 -2.529 1.460 6.538 0.000 -2.920 6.538" Properties=species:S:1:pos:R:3 pbc="T T T"
Tl 0.000 0.000 0.000
Tl 0.000 0.000 4.208
Tl 0.000 0.000 15.405
C 0.000 0.000 7.865
C 0.000 0.000 11.748
O -1.166 -0.673 11.238
O 0.000 -1.346 8.375
O -1.166 0.673 8.375
O 0.000 0.000 6.533
O 0.000 0.000 13.081
O 1.166 -0.673 11.238
O 0.000 1.346 11.238
O 1.166 0.673 8.375
```


# 4
The following is a simulated X-ray powder pattern of GeTeO3. It was derived from a GGA-PBE-relaxed structure, using Cu Ka.
Lines closer than 0.1° are merged.

Peak list (10 most intense, 10° ≤ 2θ ≤ 90°, low angle first)
two_theta  d (Å)  intensity
19.40  4.574  100.0
22.33  3.982  63.8
23.33  3.812  51.6
31.29  2.859  63.6
35.09  2.557  19.3
38.77  2.322  84.4
47.71  1.906  16.1
49.28  1.849  16.2
56.31  1.634  30.9
60.74  1.525  22.2

Structure:
```
15
Lattice="5.718 0.000 0.000 -2.859 4.952 0.000 0.000 0.000 11.946" Properties=species:S:1:pos:R:3 pbc="T T T"
Ge 0.000 0.000 0.000
Ge 0.000 3.301 7.964
Ge 2.859 1.651 3.982
Te 0.000 0.000 8.102
Te 0.000 3.301 4.120
Te 2.859 1.651 0.138
O 0.000 1.654 9.043
O -1.426 4.125 9.043
O 1.426 0.824 1.080
O 2.859 0.003 5.062
O 1.432 2.474 5.062
O 1.426 4.125 9.043
O 4.291 0.824 1.080
O 2.859 3.305 1.080
O 4.285 2.474 5.062
```


# 5
The following is a simulated X-ray powder pattern of Ca3MgSn12. It was derived from a GGA-PBE-relaxed structure, using Cu Ka.
Lines closer than 0.1° are merged.

Peak list (10 most intense, 10° ≤ 2θ ≤ 90°, low angle first)
two_theta  d (Å)  intensity
18.73  4.738  7.9
32.64  2.743  100.0
37.66  2.389  16.8
37.98  2.369  33.5
54.56  1.682  23.4
54.80  1.675  11.8
64.82  1.438  13.8
65.26  1.430  28.2
68.40  1.372  12.1
89.89  1.091  12.6

Structure:
```
16
Lattice="4.738 0.000 0.000 0.000 4.738 0.000 0.000 0.000 19.109" Properties=species:S:1:pos:R:3 pbc="T T T"
Ca 0.000 0.000 0.000
Ca 0.000 0.000 4.758
Ca 0.000 0.000 14.351
Mg 0.000 0.000 9.555
Sn 0.000 2.369 2.404
Sn 0.000 2.369 7.246
Sn 0.000 2.369 11.863
Sn 0.000 2.369 16.706
Sn 2.369 0.000 2.404
Sn 2.369 0.000 7.246
Sn 2.369 0.000 11.863
Sn 2.369 0.000 16.706
Sn 2.369 2.369 0.000
Sn 2.369 2.369 4.836
Sn 2.369 2.369 9.555
Sn 2.369 2.369 14.273
```


# 6
The following is a simulated X-ray powder pattern of Dy3ErPb2C. It was derived from a GGA-PBE-relaxed structure, using Cu Ka.
Lines closer than 0.1° are merged.

Peak list (10 most intense, 10° ≤ 2θ ≤ 90°, low angle first)
two_theta  d (Å)  intensity
26.21  3.400  21.1
28.50  3.132  55.4
33.41  2.682  28.1
34.54  2.597  100.0
37.27  2.413  28.0
37.55  2.395  27.5
50.91  1.794  17.0
51.12  1.787  17.0
53.94  1.700  19.5
64.00  1.455  19.3

Structure:
```
14
Lattice="4.791 0.000 0.000 0.000 4.826 0.000 0.000 0.000 16.096" Properties=species:S:1:pos:R:3 pbc="T T T"
Dy 0.000 0.000 0.000
Dy 0.000 2.413 2.529
Dy 0.000 2.413 13.567
Dy 2.395 0.000 5.519
Dy 2.395 0.000 10.577
Dy 2.395 2.413 8.048
Er 0.000 0.000 8.048
Er 2.395 2.413 0.000
Pb 0.000 2.413 5.761
Pb 0.000 2.413 10.335
Pb 2.395 0.000 2.287
Pb 2.395 0.000 13.809
C 0.000 2.413 0.000
C 2.395 0.000 8.048
```